# 1
Diffraction record for HoGePd. The X-ray diffraction stick pattern is simulated, not measured: it uses a structure optimized by DFT (GGA-PBE) and λ = 1.5418 Å (Cu Kα).

Peak list (10 most intense, 15° ≤ 2θ ≤ 90°, in order of rising 2θ)
- 2θ = 23.32°, d 3.815, I = 10
- 2θ = 33.62°, d 2.665, I = 22
- 2θ = 34.85°, d 2.574, I = 100
- 2θ = 40.56°, d 2.224, I = 11
- 2θ = 40.97°, d 2.203, I = 62
- 2θ = 54.86°, d 1.674, I = 21
- 2θ = 66.89°, d 1.399, I = 12
- 2θ = 68.65°, d 1.367, I = 11
- 2θ = 70.70°, d 1.332, I = 16
- 2θ = 74.63°, d 1.272, I = 7

Structural model:
Cell lengths 11.3518, 11.3518, 11.3518 Å; angles 157.63, 45.69, 140.70 degrees
Atoms (fractional coordinates):
Ho: 0.0000 0.0000 0.0000
Ho: 0.2449 0.0779 0.1670
Ho: 0.3327 0.9995 0.3332
Ho: 0.5838 0.0838 0.5000
Ho: 0.6664 0.9995 0.6668
Ho: 0.9109 0.0779 0.8330
Ge: 0.3170 0.3818 0.9351
Ge: 0.4467 0.3818 0.0649
Ge: 0.4609 0.6968 0.7642
Ge: 0.7861 0.3799 0.4063
Ge: 0.9326 0.6968 0.2358
Ge: 0.9736 0.3799 0.5937
Pd: 0.0998 0.3674 0.7324
Pd: 0.1404 0.7127 0.4277
Pd: 0.2850 0.7127 0.5723
Pd: 0.6040 0.7085 0.8955
Pd: 0.6350 0.3674 0.2676
Pd: 0.8130 0.7085 0.1045


# 2
Diffraction record for Ho4Ge8Pd. The X-ray diffraction stick pattern is simulated, not measured: it uses a structure optimized by DFT (GGA-PBE) and λ = 1.5418 Å (Cu Kα).

Peak list (10 most intense, 15° ≤ 2θ ≤ 90°, in order of rising 2θ)
- 2θ = 24.70°, d 3.604, I = 14
- 2θ = 32.51°, d 2.754, I = 13
- 2θ = 34.88°, d 2.572, I = 23
- 2θ = 35.32°, d 2.541, I = 100
- 2θ = 39.72°, d 2.269, I = 16
- 2θ = 44.22°, d 2.048, I = 21
- 2θ = 45.29°, d 2.002, I = 19
- 2θ = 58.41°, d 1.580, I = 11
- 2θ = 65.15°, d 1.432, I = 13
- 2θ = 75.56°, d 1.258, I = 11

Structural model:
Cell lengths 4.0047, 4.0970, 16.5242 Å; angles 90.00, 90.00, 90.00 degrees
Atoms (fractional coordinates):
Ho: 0.0000 0.0000 0.0000
Ho: 0.0000 0.5000 0.4875
Ho: 0.5000 0.0000 0.7914
Ho: 0.5000 0.5000 0.2841
Ge: 0.0000 0.0000 0.3355
Ge: 0.0000 0.0000 0.6199
Ge: 0.0000 0.5000 0.1386
Ge: 0.0000 0.5000 0.8587
Ge: 0.5000 0.0000 0.1459
Ge: 0.5000 0.0000 0.4372
Ge: 0.5000 0.5000 0.6190
Ge: 0.5000 0.5000 0.9562
Pd: 0.0000 0.5000 0.7109


# 3
Diffraction record for Ho4ReGe8. The X-ray diffraction stick pattern is simulated, not measured: it uses a structure optimized by DFT (GGA-PBE) and λ = 1.5418 Å (Cu Kα).

Peak list (10 most intense, 15° ≤ 2θ ≤ 90°, in order of rising 2θ)
- 2θ = 31.04°, d 2.881, I = 16
- 2θ = 33.84°, d 2.649, I = 13
- 2θ = 35.00°, d 2.564, I = 100
- 2θ = 35.29°, d 2.543, I = 26
- 2θ = 40.69°, d 2.217, I = 18
- 2θ = 42.64°, d 2.120, I = 25
- 2θ = 44.73°, d 2.026, I = 22
- 2θ = 58.22°, d 1.585, I = 12
- 2θ = 63.51°, d 1.465, I = 15
- 2θ = 73.10°, d 1.295, I = 14

Structural model:
Cell lengths 4.0523, 4.2408, 15.8924 Å; angles 90.00, 90.00, 90.00 degrees
Atoms (fractional coordinates):
Ho: 0.0000 0.0000 0.0000
Ho: 0.0000 0.5000 0.4845
Ho: 0.5000 0.0000 0.7924
Ho: 0.5000 0.5000 0.2860
Re: 0.0000 0.5000 0.6997
Ge: 0.0000 0.0000 0.3338
Ge: 0.0000 0.0000 0.6209
Ge: 0.0000 0.5000 0.1390
Ge: 0.0000 0.5000 0.8548
Ge: 0.5000 0.0000 0.1448
Ge: 0.5000 0.0000 0.4458
Ge: 0.5000 0.5000 0.6173
Ge: 0.5000 0.5000 0.9581